Record 1
This entry pairs a crystal structure of Zr3GeH2 with its theoretical XRD peak list. Radiation: Cu Kα X-rays. Structure: a PBE-relaxed structure.
No peak broadening, texture or thermal motion is included.

Peak list (6 most intense, 15 to 90 degrees two-theta, in order of rising 2θ)
29.87°, I 77; 30.81°, I 90; 33.79°, I 69; 35.22°, I 100; 38.06°, I 86; 42.93°, I 66

Structural model:
a = 5.664 Å, b = 3.530 Å, c = 9.609 Å
α = 90.00°, β = 96.15°, γ = 90.00°
Positions (direct):
Zr  0.089  0.250  0.309
Zr  0.218  0.250  0.931
Zr  0.347  0.250  0.614
Zr  0.653  0.750  0.386
Zr  0.782  0.750  0.069
Zr  0.911  0.750  0.691
Ge  0.333  0.750  0.154
Ge  0.667  0.250  0.846
H  0.039  0.750  0.902
H  0.445  0.250  0.412
H  0.555  0.750  0.588
H  0.961  0.250  0.098

=====

Record 2
This entry pairs a crystal structure of K2H3N with its theoretical XRD peak list. Radiation: Cu Kα X-rays. Structure: a PBE-relaxed structure.
No peak broadening, texture or thermal motion is included.

Peak list (6 most intense, 15 to 90 degrees two-theta, in order of rising 2θ)
22.82°, I 48; 23.61°, I 49; 28.02°, I 92; 33.07°, I 88; 36.44°, I 100; 44.33°, I 31

Structural model:
a = 8.484 Å, b = 8.314 Å, c = 5.247 Å
α = 73.57°, β = 70.05°, γ = 36.38°
Positions (direct):
K  0.233  0.767  0.233
K  0.250  0.250  0.250
K  0.750  0.750  0.750
K  0.767  0.233  0.767
H  0.118  0.118  0.882
H  0.276  0.512  0.724
H  0.488  0.724  0.512
H  0.512  0.276  0.488
H  0.724  0.488  0.276
H  0.882  0.882  0.118
N  0.353  0.353  0.647
N  0.647  0.647  0.353